(1)
This entry pairs a crystal structure of V4Cr2S9 with its calculated PXRD pattern. Radiation: Cu Kα, 1.54184 Å. Structure: DFT lattice parameters and positions (PBE).

Main lines, low angle first (2θ = 10–90°):
2θ/deg  I/Imax
20.28  610
20.44  864
28.02  674
29.86  420
34.00  775
34.34  763
34.80  703
44.67  949
45.21  1000
45.44  971
52.56  511
53.89  985

Structure:
```
V4Cr2S9
1.0
5.224 -2.925 0.000
5.224 2.925 0.000
-0.217 0.000 16.383
V Cr S
8 4 18
direct
0.160 0.163 0.171
0.163 0.160 0.671
0.172 0.187 0.997
0.187 0.172 0.497
0.813 0.828 0.503
0.828 0.813 0.003
0.837 0.840 0.329
0.840 0.837 0.829
0.492 0.501 0.843
0.499 0.508 0.657
0.501 0.492 0.343
0.508 0.499 0.157
0.155 0.833 0.923
0.157 0.504 0.415
0.158 0.496 0.089
0.167 0.845 0.577
0.177 0.823 0.250
0.180 0.504 0.747
0.496 0.158 0.589
0.496 0.820 0.753
0.496 0.843 0.085
0.504 0.157 0.915
0.504 0.180 0.247
0.504 0.842 0.411
0.820 0.496 0.253
0.823 0.177 0.750
0.833 0.155 0.423
0.842 0.504 0.911
0.843 0.496 0.585
0.845 0.167 0.077
```

---

(2)
This entry pairs a crystal structure of LiHBr with its calculated PXRD pattern. Radiation: Cu Kα, 1.54184 Å. Structure: DFT lattice parameters and positions (PBE).

Main lines, low angle first (2θ = 10–90°):
2θ/deg  I/Imax
13.26  438
20.92  780
26.71  129
28.05  317
28.24  1000
28.33  684
39.15  224
40.28  294
49.78  272
50.01  348
50.21  130
58.59  113

Structure:
```
LiHBr
1.0
7.366 0.000 0.000
0.000 6.362 0.000
-2.666 0.000 5.714
Li H Br
4 4 4
direct
0.000 0.250 0.000
0.000 0.250 0.500
0.000 0.750 0.000
0.000 0.750 0.500
0.498 0.012 0.057
0.498 0.488 0.557
0.502 0.512 0.443
0.502 0.988 0.943
0.182 0.000 0.340
0.182 0.500 0.840
0.818 0.000 0.660
0.818 0.500 0.160
```

---

(3)
This entry pairs a crystal structure of Na2LiInI5 with its calculated PXRD pattern. Radiation: Cu Kα, 1.54184 Å. Structure: DFT lattice parameters and positions (PBE).

Main lines, low angle first (2θ = 10–90°):
2θ/deg  I/Imax
19.97  454
22.14  475
22.79  528
23.89  623
24.84  865
25.90  1000
29.05  360
29.75  440
31.09  469
34.12  431
35.33  400
39.34  485

Structure:
```
Na2LiInI5
1.0
2.291 -9.230 0.000
2.291 9.230 0.000
0.000 0.000 16.287
Na Li In I
4 2 2 10
direct
0.083 0.917 0.500
0.166 0.834 0.112
0.834 0.166 0.612
0.917 0.083 0.000
0.238 0.762 0.877
0.762 0.238 0.377
0.449 0.551 0.290
0.551 0.449 0.790
0.080 0.920 0.914
0.251 0.749 0.519
0.282 0.718 0.261
0.394 0.606 0.864
0.489 0.511 0.615
0.511 0.489 0.115
0.606 0.394 0.364
0.718 0.282 0.761
0.749 0.251 0.019
0.920 0.080 0.414
```

---

(4)
This entry pairs a crystal structure of LiZr2Be16 with its calculated PXRD pattern. Radiation: Cu Kα, 1.54184 Å. Structure: DFT lattice parameters and positions (PBE).

Main lines, low angle first (2θ = 10–90°):
2θ/deg  I/Imax
15.68  711
21.05  239
23.39  1000
24.29  312
28.29  240
33.97  995
35.39  199
37.02  220
41.11  377
47.83  308
48.32  552
70.35  245

Structure:
```
LiZr2Be16
1.0
3.803 2.196 3.664
-3.803 2.196 3.664
0.000 -4.392 3.664
Li Zr Be
1 2 16
direct
0.000 0.000 0.000
0.436 0.436 0.436
0.754 0.754 0.754
0.095 0.387 0.804
0.095 0.804 0.387
0.098 0.098 0.589
0.098 0.589 0.098
0.200 0.200 0.200
0.257 0.750 0.750
0.387 0.095 0.804
0.387 0.804 0.095
0.437 0.437 0.936
0.437 0.936 0.437
0.589 0.098 0.098
0.750 0.257 0.750
0.750 0.750 0.257
0.804 0.095 0.387
0.804 0.387 0.095
0.936 0.437 0.437
```

---

(5)
This entry pairs a crystal structure of Y4Ru6O19 with its calculated PXRD pattern. Radiation: Cu Kα, 1.54184 Å. Structure: DFT lattice parameters and positions (PBE).

Main lines, low angle first (2θ = 10–90°):
2θ/deg  I/Imax
13.97  162
19.80  356
24.32  467
31.56  1000
34.66  136
37.53  498
42.79  152
49.82  143
52.01  708
56.19  218
62.12  322
85.22  111

Structure:
```
Y4Ru6O19
1.0
-4.483 4.483 4.483
4.483 -4.483 4.483
4.483 4.483 -4.483
Y Ru O
4 6 19
direct
0.000 0.000 0.297
0.000 0.297 0.000
0.297 0.000 0.000
0.703 0.703 0.703
0.139 0.500 0.639
0.361 0.861 0.500
0.500 0.361 0.861
0.500 0.639 0.139
0.639 0.139 0.500
0.861 0.500 0.361
0.000 0.000 0.000
0.000 0.319 0.319
0.000 0.681 0.681
0.055 0.730 0.350
0.270 0.326 0.620
0.295 0.674 0.945
0.319 0.000 0.319
0.319 0.319 0.000
0.326 0.620 0.270
0.350 0.055 0.730
0.380 0.705 0.650
0.620 0.270 0.326
0.650 0.380 0.705
0.674 0.945 0.295
0.681 0.000 0.681
0.681 0.681 0.000
0.705 0.650 0.380
0.730 0.350 0.055
0.945 0.295 0.674
```

---

(6)
This entry pairs a crystal structure of Rb5CdHg4 with its calculated PXRD pattern. Radiation: Cu Kα, 1.54184 Å. Structure: DFT lattice parameters and positions (PBE).

Main lines, low angle first (2θ = 10–90°):
2θ/deg  I/Imax
10.49  1000
16.03  153
21.71  207
25.89  149
26.51  405
28.89  177
29.27  362
32.44  312
32.80  276
33.54  383
35.68  259
38.48  144

Structure:
```
Rb5CdHg4
1.0
11.384 -2.516 0.000
11.384 2.516 0.000
-3.603 0.000 8.577
Rb Cd Hg
5 1 4
direct
0.000 0.000 0.000
0.305 0.305 0.895
0.362 0.362 0.488
0.638 0.638 0.512
0.695 0.695 0.105
0.000 0.000 0.500
0.126 0.126 0.803
0.464 0.464 0.272
0.536 0.536 0.728
0.874 0.874 0.197
```

---

(7)
This entry pairs a crystal structure of YEr4Hg with its calculated PXRD pattern. Radiation: Cu Kα, 1.54184 Å. Structure: DFT lattice parameters and positions (PBE).

Main lines, low angle first (2θ = 10–90°):
2θ/deg  I/Imax
12.58  600
28.67  334
32.11  765
32.64  419
32.89  803
33.58  458
33.98  385
34.25  887
34.50  1000
54.73  205
60.05  245
62.69  448

Structure:
```
YEr4Hg
1.0
4.314 -6.906 0.000
4.314 6.906 0.000
-2.010 0.000 5.979
Y Er Hg
2 8 2
direct
0.092 0.908 0.750
0.908 0.092 0.250
0.096 0.340 0.877
0.213 0.590 0.457
0.340 0.096 0.377
0.410 0.787 0.043
0.590 0.213 0.957
0.660 0.904 0.623
0.787 0.410 0.543
0.904 0.660 0.123
0.499 0.501 0.750
0.501 0.499 0.250
```

---

(8)
This entry pairs a crystal structure of Nd2InSe5 with its calculated PXRD pattern. Radiation: Cu Kα, 1.54184 Å. Structure: DFT lattice parameters and positions (PBE).

Main lines, low angle first (2θ = 10–90°):
2θ/deg  I/Imax
12.15  688
16.41  847
23.92  793
30.75  746
32.12  1000
37.03  196
39.32  413
40.41  466
41.74  277
45.07  827
48.87  176
52.73  265

Structure:
```
Nd2InSe5
1.0
2.908 -7.284 0.000
2.908 7.284 0.000
0.000 0.000 12.983
Nd In Se
4 2 10
direct
0.166 0.834 0.572
0.166 0.834 0.928
0.834 0.166 0.072
0.834 0.166 0.428
0.175 0.825 0.250
0.825 0.175 0.750
0.033 0.967 0.103
0.033 0.967 0.397
0.292 0.708 0.750
0.303 0.697 0.092
0.303 0.697 0.408
0.697 0.303 0.592
0.697 0.303 0.908
0.708 0.292 0.250
0.967 0.033 0.603
0.967 0.033 0.897
```